Entry 1:
Starting from a DFT-relaxed cell (PBE, the Materials Project), the powder X-ray diffraction pattern of TiSnRh was calculated for Cu Kα X-rays.
Neutral-atom scattering factors, no anomalous dispersion.

Structure:
```
data_TiSnRh
_cell_length_a 6.191
_cell_length_b 6.191
_cell_length_c 6.191
_cell_angle_alpha 90.00
_cell_angle_beta 90.00
_cell_angle_gamma 90.00
_symmetry_space_group_name_H-M 'F -4 3 m'
_symmetry_Int_Tables_number 216
_symmetry_space_group_name_Hall 'F -4 2 3'
loop_
_atom_site_label
_atom_site_fract_x
_atom_site_fract_y
_atom_site_fract_z
Ti1 0.000 0.000 0.000
Sn1 0.000 0.000 0.500
Rh1 0.250 0.250 0.750
```

Top 8 peaks for 5° ≤ 2θ ≤ 70°, by intensity:
Position (°2θ)	I/Imax	index
41.2	100	2 2 0
24.9	56	1 1 1
48.8	28	3 1 1
59.7	17	4 0 0
65.7	12	3 3 1
28.8	7	2 0 0
67.7	3	4 2 0
51.1	2	2 2 2

---

Entry 2:
Starting from a DFT-relaxed cell (PBE, the Materials Project), the powder X-ray diffraction pattern of TmSnRh2 was calculated for Cu Kα X-rays.
Neutral-atom scattering factors, no anomalous dispersion.

Structure:
```
data_TmSnRh2
_cell_length_a 6.609
_cell_length_b 6.609
_cell_length_c 6.609
_cell_angle_alpha 90.00
_cell_angle_beta 90.00
_cell_angle_gamma 90.00
_symmetry_space_group_name_H-M 'F m -3 m'
_symmetry_Int_Tables_number 225
_symmetry_space_group_name_Hall '-F 4 2 3'
loop_
_atom_site_label
_atom_site_fract_x
_atom_site_fract_y
_atom_site_fract_z
Tm1 0.000 0.000 0.000
Sn1 0.000 0.000 0.500
Rh1 0.250 0.250 0.250
```

Top 8 peaks for 5° ≤ 2θ ≤ 70°, by intensity:
Position (°2θ)	I/Imax	index
38.5	100	2 2 0
69.7	35	4 2 2
55.6	17	4 0 0
27.0	3	2 0 0
23.3	2	1 1 1
62.9	1	4 2 0
45.5	1	3 1 1
47.7	1	2 2 2

---

Entry 3:
Starting from a DFT-relaxed cell (PBE, the Materials Project), the powder X-ray diffraction pattern of USnRh2 was calculated for Cu Kα X-rays.
Neutral-atom scattering factors, no anomalous dispersion.

Structure:
```
data_USnRh2
_cell_length_a 9.853
_cell_length_b 4.418
_cell_length_c 7.017
_cell_angle_alpha 90.00
_cell_angle_beta 90.00
_cell_angle_gamma 90.00
_symmetry_space_group_name_H-M 'P n m a'
_symmetry_Int_Tables_number 62
loop_
_symmetry_equiv_pos_as_xyz
'x,y,z'
'-x,-y,-z'
'-x+1/2,-y,z+1/2'
'x+1/2,y,-z+1/2'
'x+1/2,-y+1/2,-z+1/2'
'-x+1/2,y+1/2,z+1/2'
'-x,y+1/2,-z'
'x,-y+1/2,z'
loop_
_atom_site_label
_atom_site_fract_x
_atom_site_fract_y
_atom_site_fract_z
U1 0.099 0.250 0.191
Sn1 0.140 0.250 0.712
Rh1 0.109 0.750 0.473
Rh2 0.179 0.750 0.924
```

Top 10 peaks for 5° ≤ 2θ ≤ 70°, by intensity:
Position (°2θ)	I/Imax	index
37.5	100	2 1 2
36.5	44	4 0 0
33.9	36	1 1 2
40.9	34	0 2 0
55.9	15	4 2 0
42.9	14	3 1 2
23.8	13	0 1 1
27.1	13	2 1 0
38.7	13	4 0 1
53.0	12	1 0 4

---

Entry 4:
Starting from a DFT-relaxed cell (PBE, the Materials Project), the powder X-ray diffraction pattern of USnRh was calculated for Cu Kα X-rays.
Neutral-atom scattering factors, no anomalous dispersion.

Structure:
```
data_USnRh
_cell_length_a 7.3666
_cell_length_b 7.3666
_cell_length_c 4.0756
_cell_angle_alpha 90.00
_cell_angle_beta 90.00
_cell_angle_gamma 120.00
_symmetry_space_group_name_H-M 'P -6 2 m'
_symmetry_Int_Tables_number 189
_symmetry_space_group_name_Hall 'P -6 -2'
loop_
_atom_site_label
_atom_site_fract_x
_atom_site_fract_y
_atom_site_fract_z
U1 0.0000 0.5811 0.0000
Sn1 0.0000 0.2516 0.5000
Rh1 0.0000 0.0000 0.0000
Rh2 0.3333 0.6667 0.5000
```

Top 10 peaks for 5° ≤ 2θ ≤ 70°, by intensity:
Position (°2θ)	I/Imax	index
35.7	100	2 0 1
32.8	99	1 1 1
37.3	49	2 1 0
56.7	29	3 1 1
44.5	27	0 0 2
59.4	26	2 1 2
68.1	26	3 2 1
42.5	21	3 0 0
51.7	19	3 1 0
28.0	17	2 0 0

---

Entry 5:
Starting from a DFT-relaxed cell (PBE, the Materials Project), the powder X-ray diffraction pattern of VSnRh2 was calculated for Cu Kα X-rays.
Neutral-atom scattering factors, no anomalous dispersion.

Structure:
```
data_VSnRh2
_cell_length_a 6.321
_cell_length_b 6.321
_cell_length_c 6.321
_cell_angle_alpha 90.00
_cell_angle_beta 90.00
_cell_angle_gamma 90.00
_symmetry_space_group_name_H-M 'F m -3 m'
_symmetry_Int_Tables_number 225
_symmetry_space_group_name_Hall '-F 4 2 3'
loop_
_atom_site_label
_atom_site_fract_x
_atom_site_fract_y
_atom_site_fract_z
V1 0.000 0.000 0.000
Sn1 0.000 0.000 0.500
Rh1 0.250 0.250 0.250
```

Top 6 peaks for 5° ≤ 2θ ≤ 70°, by intensity:
Position (°2θ)	I/Imax	index
40.4	100	2 2 0
58.4	17	4 0 0
24.4	8	1 1 1
47.7	5	3 1 1
64.2	2	3 3 1
28.2	1	2 0 0

---

Entry 6:
Starting from a DFT-relaxed cell (PBE, the Materials Project), the powder X-ray diffraction pattern of VSnRh2 was calculated for Cu Kα X-rays.
Neutral-atom scattering factors, no anomalous dispersion.

Structure:
```
data_VSnRh2
_cell_length_a 4.104
_cell_length_b 4.104
_cell_length_c 7.396
_cell_angle_alpha 90.00
_cell_angle_beta 90.00
_cell_angle_gamma 90.00
_symmetry_space_group_name_H-M 'I 4/m m m'
_symmetry_Int_Tables_number 139
_symmetry_space_group_name_Hall '-I 4 2'
loop_
_atom_site_label
_atom_site_fract_x
_atom_site_fract_y
_atom_site_fract_z
V1 0.000 0.000 0.000
Sn1 0.000 0.000 0.500
Rh1 0.000 0.500 0.250
```

Top 10 peaks for 5° ≤ 2θ ≤ 70°, by intensity:
Position (°2θ)	I/Imax	index
39.5	100	1 1 2
44.1	36	2 0 0
68.3	19	2 0 4
49.3	13	0 0 4
64.2	12	2 2 0
24.8	11	1 0 1
51.3	4	2 1 1
42.8	3	1 0 3
63.2	2	2 1 3
30.8	1	1 1 0